# KTb2CuMo4O16
Computed XRD peak list, Cu Kα X-rays. Input: a DFT-relaxed cell (PBE+U, the Materials Project).

Crystal structure
abc: 5.3169 12.7479 19.7427
angles: 90.00 93.09 90.00
Space group C2/c (No. 15)
Unique sites:
1 K 0.0000 0.0287 0.2500 (multiplicity 4)
2 Tb 0.0014 0.1472 0.4677 (multiplicity 8)
3 Cu 0.0000 0.3090 0.2500 (multiplicity 4)
4 Mo 0.0081 0.2589 0.6470 (multiplicity 8)
5 Mo 0.0133 0.4387 0.0912 (multiplicity 8)
6 O 0.1070 0.4094 0.3283 (multiplicity 8)
7 O 0.1269 0.1398 0.8274 (multiplicity 8)
8 O 0.1611 0.3311 0.0424 (multiplicity 8)
9 O 0.1764 0.2384 0.5666 (multiplicity 8)
10 O 0.2234 0.4522 0.6009 (multiplicity 8)
11 O 0.2323 0.2974 0.7131 (multiplicity 8)
12 O 0.2359 0.0194 0.5370 (multiplicity 8)
13 O 0.2476 0.1503 0.1317 (multiplicity 8)

Most intense lines, 10 to 90 degrees two-theta, in order of rising 2θ:
two_theta	I (rel.)
24.98	32
26.27	33
27.41	32
28.09	50
28.34	90
28.68	45
29.77	100
30.60	45
31.19	28
33.76	43